# 1
Theoretical powder diffractogram of Mg16Al12Sn for Cu Kα (weighted mean of Kα1 and Kα2), from a structure optimized by DFT (PBE).
Peak positions follow from Bragg's law for the DFT cell and can differ from measured ones.

Cell: 9.1387 9.1387 9.1387 Å, 109.47 109.47 109.47°
Fractional coordinates of all 29 atoms:
1 Mg 0.0000 0.0000 0.3468
2 Mg 0.0000 0.3154 0.5989
3 Mg 0.0000 0.3468 0.0000
4 Mg 0.0000 0.5989 0.3154
5 Mg 0.2835 0.6846 0.6846
6 Mg 0.3154 0.0000 0.5989
7 Mg 0.3154 0.5989 0.0000
8 Mg 0.3468 0.0000 0.0000
9 Mg 0.4011 0.4011 0.7165
10 Mg 0.4011 0.7165 0.4011
11 Mg 0.5989 0.0000 0.3154
12 Mg 0.5989 0.3154 0.0000
13 Mg 0.6532 0.6532 0.6532
14 Mg 0.6846 0.2835 0.6846
15 Mg 0.6846 0.6846 0.2835
16 Mg 0.7165 0.4011 0.4011
17 Al 0.0000 0.6281 0.8124
18 Al 0.0000 0.8124 0.6281
19 Al 0.1843 0.3719 0.3719
20 Al 0.1876 0.1876 0.8157
21 Al 0.1876 0.8157 0.1876
22 Al 0.3719 0.1843 0.3719
23 Al 0.3719 0.3719 0.1843
24 Al 0.6281 0.0000 0.8124
25 Al 0.6281 0.8124 0.0000
26 Al 0.8124 0.0000 0.6281
27 Al 0.8124 0.6281 0.0000
28 Al 0.8157 0.1876 0.1876
29 Sn 0.0000 0.0000 0.0000

The 12 most intense peaks (2θ = 10–90°), in order of rising 2θ:
Position (°2θ), d/Å, intensity
11.86, 7.462, 28
20.62, 4.308, 11
26.71, 3.337, 8
31.73, 2.820, 17
36.11, 2.487, 100
40.08, 2.250, 22
41.94, 2.154, 15
43.74, 2.070, 8
47.17, 1.927, 8
62.21, 1.492, 15
64.94, 1.436, 27
77.87, 1.227, 8

***

# 2
Theoretical powder diffractogram of PrIn3Pb for Cu Kα (weighted mean of Kα1 and Kα2), from a structure optimized by DFT (PBE).
Peak positions follow from Bragg's law for the DFT cell and can differ from measured ones.

Cell: 8.7307 8.7307 5.8858 Å, 90.00 90.00 137.84°
Fractional coordinates of all 10 atoms:
1 Pr 0.1853 0.8147 0.7500
2 Pr 0.8147 0.1853 0.2500
3 In 0.0000 0.0000 0.0000
4 In 0.0000 0.0000 0.5000
5 In 0.1157 0.3941 0.7500
6 In 0.3941 0.1157 0.2500
7 In 0.6059 0.8843 0.7500
8 In 0.8843 0.6059 0.2500
9 Pb 0.4330 0.5670 0.2500
10 Pb 0.5670 0.4330 0.7500

The 12 most intense peaks (2θ = 10–90°), in order of rising 2θ:
Position (°2θ), d/Å, intensity
10.86, 8.147, 15
26.46, 3.369, 37
30.37, 2.943, 24
30.92, 2.892, 27
34.17, 2.624, 100
34.55, 2.596, 20
36.44, 2.466, 24
37.60, 2.392, 24
37.71, 2.385, 17
56.45, 1.630, 19
58.81, 1.570, 15
62.89, 1.478, 23

***

# 3
Theoretical powder diffractogram of Pa6Cr3S14 for Cu Kα (weighted mean of Kα1 and Kα2), from a structure optimized by DFT (PBE).
Peak positions follow from Bragg's law for the DFT cell and can differ from measured ones.

Cell: 9.7311 9.7311 5.6331 Å, 90.00 90.00 120.00°
Fractional coordinates of all 23 atoms:
1 Pa 0.0331 0.5588 0.0000
2 Pa 0.2994 0.1042 0.4949
3 Pa 0.4412 0.4743 0.0000
4 Pa 0.5257 0.9669 0.0000
5 Pa 0.8048 0.7006 0.4949
6 Pa 0.8958 0.1952 0.4949
7 Cr 0.0000 0.0000 0.8942
8 Cr 0.3333 0.6667 0.3962
9 Cr 0.6667 0.3333 0.2529
10 S 0.0000 0.0000 0.2986
11 S 0.0930 0.8395 0.7515
12 S 0.1605 0.2535 0.7515
13 S 0.1764 0.4146 0.2508
14 S 0.2382 0.8236 0.2508
15 S 0.3333 0.6667 0.7991
16 S 0.4241 0.1859 0.0184
17 S 0.5162 0.4240 0.4875
18 S 0.5760 0.0922 0.4875
19 S 0.5854 0.7618 0.2508
20 S 0.7465 0.9070 0.7515
21 S 0.7618 0.5759 0.0184
22 S 0.8141 0.2382 0.0184
23 S 0.9078 0.4838 0.4875

The 12 most intense peaks (2θ = 10–90°), in order of rising 2θ:
Position (°2θ), d/Å, intensity
18.95, 4.683, 36
21.08, 4.214, 24
24.17, 3.682, 26
26.41, 3.374, 100
28.01, 3.185, 28
31.77, 2.816, 20
35.72, 2.514, 20
36.93, 2.434, 43
38.47, 2.340, 46
41.84, 2.159, 33
42.87, 2.110, 32
52.33, 1.748, 23

***

# 4
Theoretical powder diffractogram of Tb16Pm7Dy6 for Cu Kα (weighted mean of Kα1 and Kα2), from a structure optimized by DFT (PBE).
Peak positions follow from Bragg's law for the DFT cell and can differ from measured ones.

Cell: 11.2051 11.2051 11.2051 Å, 60.00 60.00 60.00°
Fractional coordinates of all 29 atoms:
1 Tb 0.0479 0.6507 0.6507
2 Tb 0.1265 0.1265 0.1265
3 Tb 0.1265 0.1265 0.6206
4 Tb 0.1265 0.6206 0.1265
5 Tb 0.3493 0.3493 0.3493
6 Tb 0.3493 0.3493 0.9521
7 Tb 0.3493 0.9521 0.3493
8 Tb 0.3794 0.8735 0.8735
9 Tb 0.6206 0.1265 0.1265
10 Tb 0.6507 0.0479 0.6507
11 Tb 0.6507 0.6507 0.0479
12 Tb 0.6507 0.6507 0.6507
13 Tb 0.8735 0.3794 0.8735
14 Tb 0.8735 0.8735 0.3794
15 Tb 0.8735 0.8735 0.8735
16 Tb 0.9521 0.3493 0.3493
17 Pm 0.0000 0.0000 0.0000
18 Pm 0.0000 0.0000 0.5000
19 Pm 0.0000 0.5000 0.0000
20 Pm 0.0000 0.5000 0.5000
21 Pm 0.5000 0.0000 0.0000
22 Pm 0.5000 0.0000 0.5000
23 Pm 0.5000 0.5000 0.0000
24 Dy 0.2662 0.2662 0.7338
25 Dy 0.2662 0.7338 0.2662
26 Dy 0.2662 0.7338 0.7338
27 Dy 0.7338 0.2662 0.2662
28 Dy 0.7338 0.2662 0.7338
29 Dy 0.7338 0.7338 0.2662

The 12 most intense peaks (2θ = 10–90°), in order of rising 2θ:
Position (°2θ), d/Å, intensity
25.13, 3.543, 6
27.58, 3.235, 6
29.29, 3.050, 10
31.95, 2.801, 100
33.45, 2.679, 6
33.94, 2.641, 5
35.84, 2.506, 5
43.89, 2.063, 5
45.81, 1.981, 14
56.94, 1.617, 27
66.79, 1.401, 7
75.96, 1.253, 7

***

# 5
Theoretical powder diffractogram of BaUTlCl6 for Cu Kα (weighted mean of Kα1 and Kα2), from a structure optimized by DFT (PBE).
Peak positions follow from Bragg's law for the DFT cell and can differ from measured ones.

Cell: 7.7968 7.7968 12.9972 Å, 90.00 90.00 120.00°
Fractional coordinates of all 18 atoms:
1 Ba 0.3333 0.6667 0.2500
2 Ba 0.6667 0.3333 0.7500
3 U 0.3333 0.6667 0.7500
4 U 0.6667 0.3333 0.2500
5 Tl 0.0000 0.0000 0.0000
6 Tl 0.0000 0.0000 0.5000
7 Cl 0.0324 0.3772 0.6323
8 Cl 0.0324 0.6552 0.8677
9 Cl 0.3448 0.3772 0.8677
10 Cl 0.3448 0.9676 0.6323
11 Cl 0.3772 0.0324 0.1323
12 Cl 0.3772 0.3448 0.3677
13 Cl 0.6228 0.6552 0.6323
14 Cl 0.6228 0.9676 0.8677
15 Cl 0.6552 0.0324 0.3677
16 Cl 0.6552 0.6228 0.1323
17 Cl 0.9676 0.3448 0.1323
18 Cl 0.9676 0.6228 0.3677

The 12 most intense peaks (2θ = 10–90°), in order of rising 2θ:
Position (°2θ), d/Å, intensity
18.95, 4.682, 100
22.81, 3.898, 45
26.67, 3.343, 17
29.82, 2.996, 32
35.98, 2.496, 61
37.87, 2.375, 36
40.06, 2.251, 28
43.90, 2.062, 12
50.73, 1.800, 16
54.93, 1.672, 18
55.65, 1.652, 12
70.13, 1.342, 16

***

# 6
Theoretical powder diffractogram of Pm2Dy5Sc4 for Cu Kα (weighted mean of Kα1 and Kα2), from a structure optimized by DFT (PBE).
Peak positions follow from Bragg's law for the DFT cell and can differ from measured ones.

Cell: 6.8266 6.8266 10.2171 Å, 120.47 120.47 57.90°
Fractional coordinates of all 11 atoms:
1 Pm 0.1858 0.1858 0.2572
2 Pm 0.8142 0.8142 0.7428
3 Dy 0.2609 0.7247 0.3314
4 Dy 0.2753 0.7391 0.6686
5 Dy 0.5000 0.5000 0.0000
6 Dy 0.7247 0.2609 0.3314
7 Dy 0.7391 0.2753 0.6686
8 Sc 0.2212 0.2212 0.9717
9 Sc 0.2288 0.2288 0.6328
10 Sc 0.7712 0.7712 0.3672
11 Sc 0.7788 0.7788 0.0283

The 12 most intense peaks (2θ = 10–90°), in order of rising 2θ:
Position (°2θ), d/Å, intensity
18.22, 4.868, 36
22.18, 4.008, 35
29.07, 3.071, 31
30.69, 2.913, 41
30.93, 2.892, 64
31.03, 2.882, 36
31.90, 2.806, 84
32.25, 2.776, 51
32.78, 2.732, 100
36.93, 2.434, 30
37.94, 2.371, 50
53.79, 1.704, 27

***

# 7
Theoretical powder diffractogram of SnOsCl6 for Cu Kα (weighted mean of Kα1 and Kα2), from a structure optimized by DFT (PBE).
Peak positions follow from Bragg's law for the DFT cell and can differ from measured ones.

Cell: 6.7933 6.7933 9.9534 Å, 91.33 91.33 70.75°
Fractional coordinates of all 16 atoms:
1 Sn 0.0134 0.9866 0.7500
2 Sn 0.9866 0.0134 0.2500
3 Os 0.0000 0.5000 0.0000
4 Os 0.5000 0.0000 0.5000
5 Cl 0.1418 0.2014 0.5000
6 Cl 0.1440 0.5648 0.2038
7 Cl 0.2014 0.1418 0.0000
8 Cl 0.2481 0.5931 0.8836
9 Cl 0.4069 0.7519 0.6164
10 Cl 0.4352 0.8560 0.2962
11 Cl 0.5648 0.1440 0.7038
12 Cl 0.5931 0.2481 0.3836
13 Cl 0.7519 0.4069 0.1164
14 Cl 0.7986 0.8582 0.0000
15 Cl 0.8560 0.4352 0.7962
16 Cl 0.8582 0.7986 0.5000

The 12 most intense peaks (2θ = 10–90°), in order of rising 2θ:
Position (°2θ), d/Å, intensity
13.81, 6.412, 39
16.32, 5.431, 92
16.57, 5.350, 100
23.70, 3.754, 41
24.39, 3.649, 51
27.83, 3.206, 41
27.95, 3.193, 25
31.88, 2.807, 23
36.29, 2.475, 25
38.74, 2.324, 22
43.53, 2.079, 37
46.56, 1.950, 25